[1]
Tb2TaSbN5: calculated powder X-ray diffraction pattern (Cu Kα (λ = 1.5418 Å)), based on a cell relaxed with GGA-PBE.

Principal peaks in the range 10 to 90 degrees two-theta, low angle first:
29.30°, d = 3.048 Å, I 16; 30.50°, d = 2.930 Å, I 100; 32.73°, d = 2.736 Å, I 48; 33.31°, d = 2.690 Å, I 40; 33.52°, d = 2.673 Å, I 43; 37.82°, d = 2.379 Å, I 26; 47.98°, d = 1.896 Å, I 31; 56.69°, d = 1.624 Å, I 29; 57.79°, d = 1.595 Å, I 14; 65.47°, d = 1.426 Å, I 23

Crystal structure
abc: 7.1767 7.1767 10.7598
angles: 90.00 90.00 153.71
Fractional coordinates of all 18 atoms:
Tb  0.1302  0.8698  0.5000
Tb  0.1381  0.8619  0.0305
Tb  0.8619  0.1381  0.5305
Tb  0.8698  0.1302  0.0000
Ta  0.2358  0.7642  0.7775
Ta  0.7642  0.2358  0.2775
Sb  0.4926  0.5074  0.2460
Sb  0.5074  0.4926  0.7460
N  0.0742  0.9258  0.8156
N  0.2837  0.7163  0.4090
N  0.2862  0.7138  0.1454
N  0.3756  0.6244  0.8211
N  0.4967  0.5033  0.5604
N  0.5033  0.4967  0.0604
N  0.6244  0.3756  0.3211
N  0.7138  0.2862  0.6454
N  0.7163  0.2837  0.9090
N  0.9258  0.0742  0.3156

[2]
ZnSbTeN2: calculated powder X-ray diffraction pattern (Cu Kα (λ = 1.5418 Å)), based on a cell relaxed with GGA-PBE.

Principal peaks in the range 10 to 90 degrees two-theta, low angle first:
22.17°, d = 4.009 Å, I 86; 27.47°, d = 3.247 Å, I 100; 31.56°, d = 2.835 Å, I 97; 35.58°, d = 2.523 Å, I 50; 42.32°, d = 2.135 Å, I 88; 45.24°, d = 2.005 Å, I 49; 53.74°, d = 1.706 Å, I 58; 58.84°, d = 1.570 Å, I 23; 66.35°, d = 1.409 Å, I 23; 81.51°, d = 1.181 Å, I 27

Crystal structure
abc: 4.0090 4.0090 6.4941
angles: 90.00 90.00 90.00
Fractional coordinates of all 5 atoms:
Zn  0.0000  0.0000  0.0000
Sb  0.5000  0.5000  0.5000
Te  0.5000  0.5000  0.0000
N  0.0000  0.5000  0.5000
N  0.5000  0.0000  0.5000

[3]
Th3Sb3N: calculated powder X-ray diffraction pattern (Cu Kα (λ = 1.5418 Å)), based on a cell relaxed with GGA-PBE.

Principal peaks in the range 10 to 90 degrees two-theta, low angle first:
24.25°, d = 3.671 Å, I 32; 24.94°, d = 3.570 Å, I 35; 25.74°, d = 3.461 Å, I 48; 29.66°, d = 3.012 Å, I 100; 31.29°, d = 2.859 Å, I 47; 34.97°, d = 2.566 Å, I 66; 35.17°, d = 2.551 Å, I 34; 35.79°, d = 2.509 Å, I 62; 40.92°, d = 2.206 Å, I 35; 41.04°, d = 2.199 Å, I 56

Crystal structure
abc: 12.9886 4.3988 13.8442
angles: 90.00 90.00 90.00
Fractional coordinates of all 28 atoms:
Th  0.0068  0.2500  0.1591
Th  0.1008  0.2500  0.6317
Th  0.2316  0.2500  0.8802
Th  0.2684  0.7500  0.3802
Th  0.3992  0.7500  0.1317
Th  0.4932  0.7500  0.6591
Th  0.5068  0.2500  0.3409
Th  0.6008  0.2500  0.8683
Th  0.7316  0.2500  0.6198
Th  0.7684  0.7500  0.1198
Th  0.8992  0.7500  0.3683
Th  0.9932  0.7500  0.8409
Sb  0.0751  0.2500  0.3931
Sb  0.1422  0.7500  0.0261
Sb  0.2469  0.7500  0.7123
Sb  0.2531  0.2500  0.2123
Sb  0.3578  0.2500  0.5261
Sb  0.4249  0.7500  0.8931
Sb  0.5751  0.2500  0.1069
Sb  0.6422  0.7500  0.4739
Sb  0.7469  0.7500  0.7877
Sb  0.7531  0.2500  0.2877
Sb  0.8578  0.2500  0.9739
Sb  0.9249  0.7500  0.6069
N  0.0671  0.2500  0.7995
N  0.4329  0.7500  0.2995
N  0.5671  0.2500  0.7005
N  0.9329  0.7500  0.2005

[4]
Th4SbN: calculated powder X-ray diffraction pattern (Cu Kα (λ = 1.5418 Å)), based on a cell relaxed with GGA-PBE.

Principal peaks in the range 10 to 90 degrees two-theta, low angle first:
29.46°, d = 3.032 Å, I 43; 30.55°, d = 2.926 Å, I 68; 31.71°, d = 2.822 Å, I 98; 32.50°, d = 2.755 Å, I 100; 34.79°, d = 2.579 Å, I 75; 40.42°, d = 2.232 Å, I 20; 51.18°, d = 1.785 Å, I 36; 52.95°, d = 1.729 Å, I 21; 55.55°, d = 1.654 Å, I 19; 61.47°, d = 1.508 Å, I 30

Crystal structure
abc: 6.2441 7.2260 8.0118
angles: 105.18 112.83 90.03
Fractional coordinates of all 12 atoms:
Th  0.0091  0.4635  0.1931
Th  0.1847  0.9623  0.1928
Th  0.2273  0.8403  0.6173
Th  0.3895  0.3406  0.6165
Th  0.6105  0.6594  0.3835
Th  0.7727  0.1597  0.3827
Th  0.8153  0.0377  0.8072
Th  0.9909  0.5365  0.8069
Sb  0.3848  0.2499  0.9999
Sb  0.6152  0.7501  0.0001
N  0.0000  0.5000  0.5000
N  0.5000  0.0000  0.5000

[5]
Th2ZrSbN5: calculated powder X-ray diffraction pattern (Cu Kα (λ = 1.5418 Å)), based on a cell relaxed with GGA-PBE.

Principal peaks in the range 10 to 90 degrees two-theta, low angle first:
16.21°, d = 5.469 Å, I 24; 27.58°, d = 3.234 Å, I 46; 30.30°, d = 2.949 Å, I 100; 31.19°, d = 2.868 Å, I 88; 32.14°, d = 2.785 Å, I 65; 32.75°, d = 2.735 Å, I 29; 36.31°, d = 2.474 Å, I 43; 46.54°, d = 1.951 Å, I 30; 55.61°, d = 1.653 Å, I 31; 62.07°, d = 1.495 Å, I 27

Crystal structure
abc: 7.2164 7.2164 10.9381
angles: 90.00 90.00 152.18
Fractional coordinates of all 18 atoms:
Th  0.1216  0.8784  0.5000
Th  0.1362  0.8638  0.0747
Th  0.8638  0.1362  0.5747
Th  0.8784  0.1216  0.0000
Zr  0.2214  0.7786  0.7966
Zr  0.7786  0.2214  0.2966
Sb  0.4792  0.5208  0.2760
Sb  0.5208  0.4792  0.7760
N  0.0398  0.9602  0.8863
N  0.2856  0.7144  0.4376
N  0.2969  0.7031  0.1516
N  0.3689  0.6311  0.8067
N  0.4951  0.5049  0.5791
N  0.5049  0.4951  0.0791
N  0.6311  0.3689  0.3067
N  0.7031  0.2969  0.6516
N  0.7144  0.2856  0.9376
N  0.9602  0.0398  0.3863

[6]
Ti5SbN: calculated powder X-ray diffraction pattern (Cu Kα (λ = 1.5418 Å)), based on a cell relaxed with GGA-PBE.

Principal peaks in the range 10 to 90 degrees two-theta, low angle first:
25.00°, d = 3.562 Å, I 21; 33.10°, d = 2.706 Å, I 18; 37.93°, d = 2.372 Å, I 100; 38.33°, d = 2.348 Å, I 70; 38.84°, d = 2.319 Å, I 93; 39.45°, d = 2.284 Å, I 52; 54.64°, d = 1.680 Å, I 17; 56.18°, d = 1.637 Å, I 42; 68.44°, d = 1.371 Å, I 22; 78.42°, d = 1.220 Å, I 21

Crystal structure
abc: 5.5350 5.5350 5.5350
angles: 131.25 118.17 82.45
Fractional coordinates of all 7 atoms:
Ti  0.0000  0.0000  0.0000
Ti  0.0733  0.3262  0.7471
Ti  0.4210  0.6738  0.7471
Ti  0.5790  0.3262  0.2529
Ti  0.9267  0.6738  0.2529
Sb  0.5000  0.0000  0.5000
N  0.0000  0.5000  0.5000

[7]
Tl2SbN2: calculated powder X-ray diffraction pattern (Cu Kα (λ = 1.5418 Å)), based on a cell relaxed with GGA-PBE.

Principal peaks in the range 10 to 90 degrees two-theta, low angle first:
12.66°, d = 6.994 Å, I 52; 19.03°, d = 4.662 Å, I 68; 29.16°, d = 3.063 Å, I 64; 30.92°, d = 2.892 Å, I 50; 31.46°, d = 2.844 Å, I 87; 31.63°, d = 2.829 Å, I 87; 31.99°, d = 2.797 Å, I 72; 32.70°, d = 2.738 Å, I 69; 34.26°, d = 2.618 Å, I 100; 38.29°, d = 2.351 Å, I 70

Crystal structure
abc: 3.4624 3.4767 13.9947
angles: 88.53 88.36 64.33
Fractional coordinates of all 5 atoms:
Tl  0.1509  0.1540  0.3086
Tl  0.8491  0.8460  0.6914
Sb  0.5000  0.5000  0.5000
N  0.4914  0.4870  0.0397
N  0.5086  0.5130  0.9603

[8]
UTlSbN: calculated powder X-ray diffraction pattern (Cu Kα (λ = 1.5418 Å)), based on a cell relaxed with GGA-PBE.

Principal peaks in the range 10 to 90 degrees two-theta, low angle first:
15.76°, d = 5.624 Å, I 30; 23.73°, d = 3.749 Å, I 23; 27.08°, d = 3.292 Å, I 41; 32.17°, d = 2.782 Å, I 100; 32.50°, d = 2.755 Å, I 79; 35.09°, d = 2.558 Å, I 34; 44.62°, d = 2.031 Å, I 44; 56.28°, d = 1.635 Å, I 34; 58.83°, d = 1.570 Å, I 36; 74.34°, d = 1.276 Å, I 20

Crystal structure
abc: 4.0612 4.0612 11.2478
angles: 90.00 90.00 90.00
Fractional coordinates of all 8 atoms:
U  0.2500  0.2500  0.0940
U  0.7500  0.7500  0.9060
Tl  0.2500  0.7500  0.5000
Tl  0.7500  0.2500  0.5000
Sb  0.2500  0.2500  0.7586
Sb  0.7500  0.7500  0.2414
N  0.2500  0.7500  0.0000
N  0.7500  0.2500  0.0000